Record 1
Mo2OsPtBr: calculated X-ray diffraction stick pattern (a wavelength of 1.5418 Å), based on a DFT-relaxed cell (GGA-PBE, Alexandria).
No peak broadening, texture or thermal motion is included.

Crystal structure
Unit cell a=4.8477 b=4.8477 c=4.8285 alpha=90.00 beta=90.00 gamma=90.00
Space group P4/mmm (No. 123)
Symmetry-distinct sites (fractional):
Mo1 0.0000 0.5000 0.0000 [2 per cell]
Os1 0.0000 0.0000 0.5000 [1 per cell]
Pt1 0.5000 0.5000 0.0000 [1 per cell]
Br1 0.5000 0.5000 0.5000 [1 per cell]

Largest 10 diffraction maxima, sorted by position, 5° ≤ 2θ ≤ 70°:
d = 4.839 Å, 2θ 18.3, I = 15
d = 3.423 Å, 2θ 26.0, I = 100
d = 2.795 Å, 2θ 32.0, I = 37
d = 2.424 Å, 2θ 37.1, I = 71
d = 2.414 Å, 2θ 37.2, I = 35
d = 1.977 Å, 2θ 45.9, I = 45
d = 1.714 Å, 2θ 53.5, I = 25
d = 1.711 Å, 2θ 53.6, I = 49
d = 1.533 Å, 2θ 60.4, I = 13
d = 1.398 Å, 2θ 67.0, I = 25

Record 2
Tb3Pm4Ho8: calculated X-ray diffraction stick pattern (a wavelength of 1.5418 Å), based on a DFT-relaxed cell (GGA-PBE, Alexandria).
No peak broadening, texture or thermal motion is included.

Crystal structure
Unit cell a=6.9477 b=6.9477 c=35.3614 alpha=90.00 beta=90.00 gamma=120.00
Space group R-3m (No. 166, hexagonal axes)
Symmetry-distinct sites (fractional):
Tb1 0.0000 0.5000 0.0000 [9 per cell]
Pm1 0.0000 0.0000 0.0000 [3 per cell]
Pm2 0.0000 0.0000 0.1634 [6 per cell]
Pm3 0.0000 0.0000 0.5000 [3 per cell]
Ho1 0.0000 0.0000 0.2549 [6 per cell]
Ho2 0.0017 0.5008 0.2509 [18 per cell]

Largest 10 diffraction maxima, sorted by position, 5° ≤ 2θ ≤ 70°:
d = 3.332 Å, 2θ 26.8, I = 15
d = 2.995 Å, 2θ 29.8, I = 24
d = 2.947 Å, 2θ 30.3, I = 55
d = 2.848 Å, 2θ 31.4, I = 100
d = 2.487 Å, 2θ 36.1, I = 73
d = 1.781 Å, 2θ 51.3, I = 23
d = 1.737 Å, 2θ 52.7, I = 36
d = 1.524 Å, 2θ 60.8, I = 16
d = 1.496 Å, 2θ 62.0, I = 43
d = 1.483 Å, 2θ 62.6, I = 14

Number 1 is which compound? Mo2OsPtBr